Entry 1:
Simulated X-ray diffraction stick pattern of VZnPbO5 for Cu Kα X-rays, from a DFT-relaxed cell (PBE+U, the Materials Project).

Most intense lines, 2θ = 10–80°, sorted by position:
2θ (°), I/Imax
11.6, 100
17.8, 53
22.1, 47
22.8, 82
26.4, 45
30.6, 46

Structure:
Lattice parameters (Å, degrees): 6.609 6.233 15.232 90.00 90.00 90.00
Space group Pnma (No. 62)
Asymmetric unit:
V (0.187, 0.250, 0.243) [4 per cell]
Zn (0.020, 0.250, 0.064) [4 per cell]
Pb (0.140, 0.250, 0.679) [4 per cell]
O (0.000, 0.000, 0.000) [4 per cell]
O (0.094, 0.750, 0.817) [4 per cell]
O (0.126, 0.528, 0.267) [8 per cell]
O (0.200, 0.750, 0.643) [4 per cell]



Entry 2:
Simulated X-ray diffraction stick pattern of VZnPbO5 for Cu Kα X-rays, from a DFT-relaxed cell (PBE+U, the Materials Project).

Most intense lines, 2θ = 10–80°, sorted by position:
2θ (°), I/Imax
17.3, 71
27.3, 100
30.8, 60
33.4, 54
34.2, 55
55.0, 49

Structure:
Lattice parameters (Å, degrees): 7.753 6.104 9.405 90.00 90.00 90.00
Space group Pnma (No. 62)
Asymmetric unit:
V (0.137, 0.250, 0.187) [4 per cell]
Zn (0.000, 0.000, 0.500) [4 per cell]
Pb (0.128, 0.250, 0.819) [4 per cell]
O (0.042, 0.750, 0.915) [4 per cell]
O (0.128, 0.005, 0.291) [8 per cell]
O (0.133, 0.250, 0.572) [4 per cell]
O (0.186, 0.750, 0.569) [4 per cell]



Entry 3:
Simulated X-ray diffraction stick pattern of Pb2WO5 for Cu Kα X-rays, from a DFT-relaxed cell (PBE+U, the Materials Project).

Most intense lines, 2θ = 10–80°, sorted by position:
2θ (°), I/Imax
24.9, 100
28.1, 61
30.0, 57
42.4, 18
45.2, 18
52.4, 20

Structure:
Lattice parameters (Å, degrees): 14.421 5.962 7.542 90.00 111.76 90.00
Space group C2/m (No. 12)
Asymmetric unit:
Pb (0.006, 0.000, 0.245) [4 per cell]
Pb (0.134, 0.500, 0.112) [4 per cell]
W (0.173, 0.500, 0.661) [4 per cell]
O (0.000, 0.247, 0.000) [4 per cell]
O (0.096, 0.500, 0.406) [4 per cell]
O (0.148, 0.257, 0.781) [8 per cell]
O (0.195, 0.000, 0.304) [4 per cell]



Entry 4:
Simulated X-ray diffraction stick pattern of RbPrW2O8 for Cu Kα X-rays, from a DFT-relaxed cell (PBE+U, the Materials Project).

Most intense lines, 2θ = 10–80°, sorted by position:
2θ (°), I/Imax
19.4, 100
26.4, 56
28.6, 52
39.3, 23
45.7, 20
51.4, 21

Structure:
Lattice parameters (Å, degrees): 6.2328 6.2328 8.6595 90.00 90.00 120.00
Space group P-3m1 (No. 164)
Asymmetric unit:
Rb (0.0000, 0.0000, 0.0000) [1 per cell]
Pr (0.0000, 0.0000, 0.5000) [1 per cell]
W (0.3333, 0.6667, 0.2624) [2 per cell]
O (0.1725, 0.3449, 0.3291) [6 per cell]
O (0.3333, 0.6667, 0.0579) [2 per cell]



Entry 5:
Simulated X-ray diffraction stick pattern of RbPrW2O8 for Cu Kα X-rays, from a DFT-relaxed cell (PBE+U, the Materials Project).

Most intense lines, 2θ = 10–80°, sorted by position:
2θ (°), I/Imax
21.7, 31
27.4, 100
28.3, 49
28.7, 64
44.5, 40
52.6, 25

Structure:
Lattice parameters (Å, degrees): 5.322 19.160 8.405 90.00 90.00 90.00
Space group Pbcn (No. 60)
Asymmetric unit:
Rb (0.000, 0.231, 0.250) [4 per cell]
Pr (0.000, 0.007, 0.750) [4 per cell]
W (0.021, 0.399, 0.518) [8 per cell]
O (0.101, 0.313, 0.975) [8 per cell]
O (0.223, 0.401, 0.343) [8 per cell]
O (0.236, 0.409, 0.688) [8 per cell]
O (0.243, 0.464, 0.002) [8 per cell]



Entry 6:
Simulated X-ray diffraction stick pattern of SrPrVSnO6 for Cu Kα X-rays, from a DFT-relaxed cell (PBE+U, the Materials Project).

Most intense lines, 2θ = 10–80°, sorted by position:
2θ (°), I/Imax
19.1, 12
31.4, 100
45.0, 33
55.9, 40
65.5, 20
74.4, 18

Structure:
Lattice parameters (Å, degrees): 8.062 8.062 8.062 90.00 90.00 90.00
Space group F-43m (No. 216)
Asymmetric unit:
Sr (0.000, 0.000, 0.000) [4 per cell]
Pr (0.000, 0.000, 0.500) [4 per cell]
V (0.250, 0.250, 0.250) [4 per cell]
Sn (0.250, 0.250, 0.750) [4 per cell]
O (0.002, 0.250, 0.250) [24 per cell]



Entry 7:
Simulated X-ray diffraction stick pattern of SrPrVO4 for Cu Kα X-rays, from a DFT-relaxed cell (PBE+U, the Materials Project).

Most intense lines, 2θ = 10–80°, sorted by position:
2θ (°), I/Imax
23.8, 28
31.1, 100
32.4, 69
43.4, 32
46.4, 37
57.0, 37

Structure:
Lattice parameters (Å, degrees): 3.912 3.912 12.685 90.00 90.00 90.00
Space group I4mm (No. 107)
Asymmetric unit:
Sr (0.000, 0.000, 0.000) [2 per cell]
Pr (0.000, 0.000, 0.712) [2 per cell]
V (0.000, 0.000, 0.357) [2 per cell]
O (0.000, 0.000, 0.189) [2 per cell]
O (0.000, 0.000, 0.529) [2 per cell]
O (0.000, 0.500, 0.347) [4 per cell]



Copy entry 5 word for word.
Simulated X-ray diffraction stick pattern of RbPrW2O8 for Cu Kα X-rays, from a DFT-relaxed cell (PBE+U, the Materials Project).

Most intense lines, 2θ = 10–80°, sorted by position:
2θ (°), I/Imax
21.7, 31
27.4, 100
28.3, 49
28.7, 64
44.5, 40
52.6, 25

Structure:
Lattice parameters (Å, degrees): 5.322 19.160 8.405 90.00 90.00 90.00
Space group Pbcn (No. 60)
Asymmetric unit:
Rb (0.000, 0.231, 0.250) [4 per cell]
Pr (0.000, 0.007, 0.750) [4 per cell]
W (0.021, 0.399, 0.518) [8 per cell]
O (0.101, 0.313, 0.975) [8 per cell]
O (0.223, 0.401, 0.343) [8 per cell]
O (0.236, 0.409, 0.688) [8 per cell]
O (0.243, 0.464, 0.002) [8 per cell]